Record 1
Starting from a crystal structure in Alexandria, relaxed with GGA-PBE, the powder XRD pattern of NaPmPaSe4 was simulated for λ = 1.5418 Å (Cu Kα).
Neutral-atom scattering factors, no anomalous dispersion.

Most intense lines, 10° ≤ 2θ ≤ 80°, sorted by position:
Position (°2θ)	I/Imax
12.56	97
24.21	57
29.29	100
38.32	31
41.88	70
42.02	14
43.90	20
51.87	12
52.02	13
53.63	15
68.79	14
76.43	12

Structural model:
Cell: 8.6262 8.6262 8.6262 Å, 120.19 119.91 89.91°
Positions (direct):
Na 0.3719 0.1219 0.2500
Na 0.6281 0.8781 0.7500
Pm 0.0000 0.5000 0.5000
Pm 0.5000 0.5000 0.0000
Pa 0.0000 0.0000 0.5000
Pa 0.0000 0.5000 0.0000
Se 0.2156 0.7425 0.4731
Se 0.2306 0.2575 0.9731
Se 0.2329 0.2505 0.5176
Se 0.2329 0.7154 0.9824
Se 0.7671 0.2846 0.0176
Se 0.7671 0.7495 0.4824
Se 0.7694 0.7425 0.0269
Se 0.7844 0.2575 0.5269

Record 2
Starting from a crystal structure in Alexandria, relaxed with GGA-PBE, the powder XRD pattern of Ti2IrSe6 was simulated for λ = 1.5418 Å (Cu Kα).
Neutral-atom scattering factors, no anomalous dispersion.

Most intense lines, 10° ≤ 2θ ≤ 80°, sorted by position:
Position (°2θ)	I/Imax
11.70	20
12.37	23
12.81	100
31.19	12
34.18	86
35.61	39
42.57	18
46.18	36
46.82	14
51.34	14
53.99	21
64.04	14

Structural model:
Cell: 8.5844 8.5844 7.9464 Å, 115.17 115.17 23.93°
Positions (direct):
Ti 0.1544 0.1544 0.3087
Ti 0.8456 0.8456 0.6913
Ir 0.5000 0.5000 0.0000
Se 0.0052 0.0052 0.7780
Se 0.3300 0.3300 0.4436
Se 0.3340 0.3340 0.9075
Se 0.6660 0.6660 0.0925
Se 0.6700 0.6700 0.5564
Se 0.9948 0.9948 0.2220

Record 3
Starting from a crystal structure in Alexandria, relaxed with GGA-PBE, the powder XRD pattern of Ce5SnRh6 was simulated for λ = 1.5418 Å (Cu Kα).
Neutral-atom scattering factors, no anomalous dispersion.

Most intense lines, 10° ≤ 2θ ≤ 80°, sorted by position:
Position (°2θ)	I/Imax
34.28	55
34.50	100
38.30	11
39.17	96
39.56	39
53.02	15
53.33	26
58.29	17
67.73	15
68.13	11
68.53	9
71.51	11

Structural model:
Cell: 7.3341 7.3341 7.0315 Å, 93.87 93.87 137.43°
Positions (direct):
Ce 0.0000 0.0000 0.0000
Ce 0.3248 0.6752 0.0000
Ce 0.3528 0.6472 0.5000
Ce 0.6472 0.3528 0.5000
Ce 0.6752 0.3248 0.0000
Sn 0.0000 0.0000 0.5000
Rh 0.1408 0.7885 0.2778
Rh 0.2115 0.8592 0.7222
Rh 0.4167 0.4167 0.7890
Rh 0.5833 0.5833 0.2110
Rh 0.7885 0.1408 0.2778
Rh 0.8592 0.2115 0.7222

Record 4
Starting from a crystal structure in Alexandria, relaxed with GGA-PBE, the powder XRD pattern of LaCl was simulated for λ = 1.5418 Å (Cu Kα).
Neutral-atom scattering factors, no anomalous dispersion.

Most intense lines, 10° ≤ 2θ ≤ 80°, sorted by position:
Position (°2θ)	I/Imax
21.37	87
26.33	100
29.16	44
30.68	68
32.91	89
37.47	27
37.70	39
45.42	31
45.61	69
48.17	32
49.18	24
55.81	34

Structural model:
Cell: 8.3143 8.3143 5.8285 Å, 90.00 90.00 120.00°
Positions (direct):
La 0.0776 0.7231 0.2500
La 0.2769 0.3545 0.2500
La 0.3545 0.0776 0.7500
La 0.6455 0.9224 0.2500
La 0.7231 0.6455 0.7500
La 0.9224 0.2769 0.7500
Cl 0.0882 0.6851 0.7500
Cl 0.3149 0.4030 0.7500
Cl 0.4030 0.0882 0.2500
Cl 0.5970 0.9118 0.7500
Cl 0.6851 0.5970 0.2500
Cl 0.9118 0.3149 0.2500